Record 1
For Ca4La3In4, DFT lattice parameters and positions (PBE) gives the simulated X-ray powder pattern in this record (CuKα).
Intensities are scaled so that the largest is 100.

Structural model:
```
data_Ca4La3In4
_symmetry_space_group_name_H-M 'I m m m'
_symmetry_Int_Tables_number 71
_symmetry_space_group_name_Hall '-I 2 2'
_cell_length_a 5.4353
_cell_length_b 7.6104
_cell_length_c 17.6543
_cell_angle_alpha 90.00
_cell_angle_beta 90.00
_cell_angle_gamma 90.00
loop_
_atom_site_label
_atom_site_fract_x
_atom_site_fract_y
_atom_site_fract_z
_atom_site_occupancy
Ca1 0.0000 0.2266 0.1795 1
La1 0.0000 0.0000 0.3995 1
La2 0.0000 0.5000 0.5000 1
In1 0.0000 0.3052 0.0000 1
In2 0.0000 0.5000 0.3128 1
```

Peak list (10 most intense, 10 to 80 degrees two-theta, most intense first)
hkl 1 2 1, d = 3.070 Å, rel. 100; hkl 1 1 4, d = 3.124 Å, rel. 42; hkl 2 0 0, d = 2.718 Å, rel. 41; hkl 1 1 6, d = 2.450 Å, rel. 37; hkl 0 1 5, d = 3.203 Å, rel. 37; hkl 2 1 5, d = 2.072 Å, rel. 22; hkl 0 3 5, d = 2.060 Å, rel. 20; hkl 2 3 5, d = 1.642 Å, rel. 19; hkl 0 0 2, d = 8.827 Å, rel. 18; hkl 1 2 11, d = 1.427 Å, rel. 16

Record 2
For LiCa4In5, DFT lattice parameters and positions (PBE) gives the simulated X-ray powder pattern in this record (CuKα).
Intensities are scaled so that the largest is 100.

Structural model:
```
data_LiCa4In5
_symmetry_space_group_name_H-M 'P 4/m m m'
_symmetry_Int_Tables_number 123
_symmetry_space_group_name_Hall '-P 4 2'
_cell_length_a 3.7652
_cell_length_b 3.7652
_cell_length_c 19.1015
_cell_angle_alpha 90.00
_cell_angle_beta 90.00
_cell_angle_gamma 90.00
loop_
_atom_site_label
_atom_site_fract_x
_atom_site_fract_y
_atom_site_fract_z
_atom_site_occupancy
Li1 0.0000 0.0000 0.0000 1
Ca1 0.0000 0.0000 0.1889 1
Ca2 0.0000 0.0000 0.3965 1
In1 0.5000 0.5000 0.0808 1
In2 0.5000 0.5000 0.2940 1
In3 0.5000 0.5000 0.5000 1
```

Peak list (10 most intense, 10 to 80 degrees two-theta, most intense first)
hkl 1 0 5, d = 2.682 Å, rel. 100; hkl 1 1 0, d = 2.662 Å, rel. 56; hkl 1 0 0, d = 3.765 Å, rel. 40; hkl 2 1 5, d = 1.541 Å, rel. 34; hkl 2 0 0, d = 1.883 Å, rel. 20; hkl 0 0 5, d = 3.820 Å, rel. 17; hkl 1 1 5, d = 2.184 Å, rel. 15; hkl 1 1 10, d = 1.552 Å, rel. 11; hkl 1 0 4, d = 2.957 Å, rel. 9; hkl 2 1 0, d = 1.684 Å, rel. 8

Record 3
For Li3Ca2In2, DFT lattice parameters and positions (PBE) gives the simulated X-ray powder pattern in this record (CuKα).
Intensities are scaled so that the largest is 100.

Structural model:
```
data_Li3Ca2In2
_symmetry_space_group_name_H-M 'I 21 3'
_symmetry_Int_Tables_number 199
_symmetry_space_group_name_Hall 'I 2b 2c 3'
_cell_length_a 9.1493
_cell_length_b 9.1493
_cell_length_c 9.1493
_cell_angle_alpha 90.00
_cell_angle_beta 90.00
_cell_angle_gamma 90.00
loop_
_atom_site_label
_atom_site_fract_x
_atom_site_fract_y
_atom_site_fract_z
_atom_site_occupancy
Li1 0.0000 0.2500 0.0304 1
Ca1 0.2344 0.2656 0.7344 1
In1 0.0413 0.4587 0.5413 1
```

Peak list (10 most intense, 10 to 80 degrees two-theta, most intense first)
hkl 2 2 0, d = 3.235 Å, rel. 100; hkl 3 1 2, d = 2.445 Å, rel. 47; hkl 1 1 0, d = 6.470 Å, rel. 29; hkl 5 1 0, d = 1.794 Å, rel. 28; hkl 3 1 0, d = 2.893 Å, rel. 27; hkl 2 0 0, d = 4.575 Å, rel. 27; hkl 5 1 2, d = 1.670 Å, rel. 20; hkl 4 2 2, d = 1.868 Å, rel. 17; hkl 3 3 0, d = 2.157 Å, rel. 13; hkl 4 0 0, d = 2.287 Å, rel. 13

Record 4
For Li4Ca2In5, DFT lattice parameters and positions (PBE) gives the simulated X-ray powder pattern in this record (CuKα).
Intensities are scaled so that the largest is 100.

Structural model:
```
data_Li4Ca2In5
_symmetry_space_group_name_H-M 'C 1 2/m 1'
_symmetry_Int_Tables_number 12
_symmetry_space_group_name_Hall '-C 2y'
_cell_length_a 12.2808
_cell_length_b 6.0637
_cell_length_c 8.9754
_cell_angle_alpha 90.00
_cell_angle_beta 130.06
_cell_angle_gamma 90.00
loop_
_atom_site_label
_atom_site_fract_x
_atom_site_fract_y
_atom_site_fract_z
_atom_site_occupancy
Li1 0.2422 0.0000 0.0550 1
Li2 0.2469 0.5000 0.6112 1
Ca1 0.2023 0.5000 0.2282 1
In1 0.0000 0.0000 0.0000 1
In2 0.0026 0.2477 0.6819 1
```

Peak list (10 most intense, 10 to 80 degrees two-theta, most intense first)
hkl 2 0 0, d = 4.700 Å, rel. 100; hkl 4 0 -3, d = 2.746 Å, rel. 44; hkl 2 2 -2, d = 2.507 Å, rel. 39; hkl 2 0 -3, d = 2.931 Å, rel. 38; hkl 2 2 0, d = 2.548 Å, rel. 34; hkl 4 0 0, d = 2.350 Å, rel. 28; hkl 2 2 -1, d = 2.718 Å, rel. 27; hkl 0 2 1, d = 2.774 Å, rel. 23; hkl 4 2 -2, d = 2.156 Å, rel. 20; hkl 0 0 3, d = 2.290 Å, rel. 19

Record 5
For Li2Ca6In, DFT lattice parameters and positions (PBE) gives the simulated X-ray powder pattern in this record (CuKα).
Intensities are scaled so that the largest is 100.

Structural model:
```
data_Li2Ca6In
_symmetry_space_group_name_H-M 'F m m m'
_symmetry_Int_Tables_number 69
_symmetry_space_group_name_Hall '-F 2 2'
_cell_length_a 5.4883
_cell_length_b 13.4209
_cell_length_c 16.5160
_cell_angle_alpha 90.00
_cell_angle_beta 90.00
_cell_angle_gamma 90.00
loop_
_atom_site_label
_atom_site_fract_x
_atom_site_fract_y
_atom_site_fract_z
_atom_site_occupancy
Li1 0.0000 0.0000 0.1630 1
Ca1 0.0000 0.1432 0.0000 1
Ca2 0.0000 0.1452 0.3350 1
In1 0.0000 0.0000 0.5000 1
```

Peak list (10 most intense, 10 to 80 degrees two-theta, most intense first)
hkl 1 3 3, d = 2.934 Å, rel. 100; hkl 1 1 1, d = 4.855 Å, rel. 33; hkl 0 0 2, d = 8.258 Å, rel. 29; hkl 0 0 6, d = 2.753 Å, rel. 23; hkl 2 0 0, d = 2.744 Å, rel. 23; hkl 0 2 2, d = 5.208 Å, rel. 20; hkl 2 0 6, d = 1.943 Å, rel. 16; hkl 1 3 9, d = 1.622 Å, rel. 15; hkl 3 3 3, d = 1.618 Å, rel. 15; hkl 2 6 0, d = 1.735 Å, rel. 13

Record 6
For LiCaIn2, DFT lattice parameters and positions (PBE) gives the simulated X-ray powder pattern in this record (CuKα).
Intensities are scaled so that the largest is 100.

Structural model:
```
data_LiCaIn2
_symmetry_space_group_name_H-M 'C 1 2/m 1'
_symmetry_Int_Tables_number 12
_symmetry_space_group_name_Hall '-C 2y'
_cell_length_a 8.2535
_cell_length_b 4.7721
_cell_length_c 6.0129
_cell_angle_alpha 90.00
_cell_angle_beta 117.33
_cell_angle_gamma 90.00
loop_
_atom_site_label
_atom_site_fract_x
_atom_site_fract_y
_atom_site_fract_z
_atom_site_occupancy
Li1 0.0000 0.0000 0.0000 1
Ca1 0.0000 0.5000 0.5000 1
In1 0.2132 0.5000 0.1392 1
```

Peak list (10 most intense, 10 to 80 degrees two-theta, most intense first)
hkl 2 0 0, d = 3.671 Å, rel. 100; hkl 0 2 0, d = 2.384 Å, rel. 96; hkl 1 1 -2, d = 2.532 Å, rel. 92; hkl 1 1 1, d = 2.876 Å, rel. 73; hkl 2 0 -1, d = 3.999 Å, rel. 41; hkl 1 1 2, d = 2.001 Å, rel. 41; hkl 0 0 1, d = 5.342 Å, rel. 39; hkl 4 0 -3, d = 1.736 Å, rel. 28; hkl 3 1 -2, d = 2.177 Å, rel. 24; hkl 2 2 -3, d = 1.533 Å, rel. 18

Record 7
For Li2Ca3In4, DFT lattice parameters and positions (PBE) gives the simulated X-ray powder pattern in this record (CuKα).
Intensities are scaled so that the largest is 100.

Structural model:
```
data_Li2Ca3In4
_symmetry_space_group_name_H-M 'C 1 2/m 1'
_symmetry_Int_Tables_number 12
_symmetry_space_group_name_Hall '-C 2y'
_cell_length_a 11.2381
_cell_length_b 4.9390
_cell_length_c 9.4681
_cell_angle_alpha 90.00
_cell_angle_beta 116.38
_cell_angle_gamma 90.00
loop_
_atom_site_label
_atom_site_fract_x
_atom_site_fract_y
_atom_site_fract_z
_atom_site_occupancy
Li1 0.0525 0.0000 0.2295 1
Ca1 0.0000 0.5000 0.0000 1
Ca2 0.1814 0.0000 0.6364 1
In1 0.0237 0.5000 0.3614 1
In2 0.2342 0.0000 0.0837 1
```

Peak list (10 most intense, 10 to 80 degrees two-theta, most intense first)
hkl 3 1 -3, d = 2.490 Å, rel. 100; hkl 3 1 0, d = 2.775 Å, rel. 86; hkl 1 1 -2, d = 3.417 Å, rel. 70; hkl 2 0 -1, d = 5.543 Å, rel. 60; hkl 1 1 0, d = 4.434 Å, rel. 59; hkl 0 2 0, d = 2.469 Å, rel. 56; hkl 1 1 2, d = 2.803 Å, rel. 45; hkl 4 0 0, d = 2.517 Å, rel. 38; hkl 2 0 1, d = 3.672 Å, rel. 38; hkl 5 1 -2, d = 2.047 Å, rel. 34

Record 8
For LiCaIn6, DFT lattice parameters and positions (PBE) gives the simulated X-ray powder pattern in this record (CuKα).
Intensities are scaled so that the largest is 100.

Structural model:
```
data_LiCaIn6
_symmetry_space_group_name_H-M 'P 4/m m m'
_symmetry_Int_Tables_number 123
_symmetry_space_group_name_Hall '-P 4 2'
_cell_length_a 4.7118
_cell_length_b 4.7118
_cell_length_c 9.0474
_cell_angle_alpha 90.00
_cell_angle_beta 90.00
_cell_angle_gamma 90.00
loop_
_atom_site_label
_atom_site_fract_x
_atom_site_fract_y
_atom_site_fract_z
_atom_site_occupancy
Li1 0.0000 0.0000 0.0000 1
Ca1 0.0000 0.0000 0.5000 1
In1 0.0000 0.5000 0.2375 1
In2 0.5000 0.5000 0.0000 1
In3 0.5000 0.5000 0.5000 1
```

Peak list (10 most intense, 10 to 80 degrees two-theta, most intense first)
hkl 1 1 2, d = 2.683 Å, rel. 100; hkl 2 0 0, d = 2.356 Å, rel. 35; hkl 3 1 2, d = 1.415 Å, rel. 26; hkl 2 0 4, d = 1.632 Å, rel. 20; hkl 0 0 4, d = 2.262 Å, rel. 15; hkl 1 0 0, d = 4.712 Å, rel. 13; hkl 2 2 0, d = 1.666 Å, rel. 12; hkl 1 0 2, d = 3.263 Å, rel. 11; hkl 1 1 6, d = 1.374 Å, rel. 10; hkl 2 2 4, d = 1.341 Å, rel. 10